[1]
# ZnNi2O4
Theoretical X-ray diffraction stick pattern, Cu Kα X-rays. Input: the GGA+U geometry in the Materials Project.
Intensities are scaled so that the largest is 100.

Structural model:
abc: 5.8819 5.8840 14.3983
angles: 90.66 90.04 119.97
Positions (direct):
Zn  0.0000  0.0000  0.0000
Zn  0.0068  0.0134  0.3732
Zn  0.1740  0.3480  0.2076
Zn  0.5074  0.0146  0.8747
Zn  0.6742  0.3485  0.7094
Zn  0.8405  0.6811  0.5414
Ni  0.0096  0.5132  0.8764
Ni  0.0106  0.0212  0.7516
Ni  0.1768  0.8482  0.2065
Ni  0.3372  0.6743  0.6639
Ni  0.3404  0.1809  0.5412
Ni  0.3405  0.6811  0.0407
Ni  0.3437  0.6874  0.4178
Ni  0.5038  0.5132  0.8764
Ni  0.6705  0.3406  0.3320
Ni  0.6712  0.8482  0.2064
Ni  0.6804  0.3604  0.0831
Ni  0.8406  0.1809  0.5412
O  0.0163  0.0325  0.6204
O  0.0461  0.5485  0.1242
O  0.1659  0.3317  0.4683
O  0.1710  0.8717  0.4642
O  0.1818  0.3637  0.9542
O  0.1827  0.8139  0.9565
O  0.3207  0.1574  0.2860
O  0.3290  0.6579  0.8002
O  0.3510  0.7022  0.2806
O  0.3636  0.2068  0.7981
O  0.4971  0.9954  0.1255
O  0.5014  0.5480  0.1240
O  0.5103  0.4901  0.6182
O  0.5151  0.0301  0.6144
O  0.6319  0.8139  0.9563
O  0.6652  0.3303  0.4616
O  0.6846  0.3692  0.9477
O  0.7007  0.8718  0.4643
O  0.8370  0.1575  0.2861
O  0.8388  0.6775  0.2847
O  0.8391  0.6776  0.8016
O  0.8432  0.2068  0.7980
O  0.9799  0.4899  0.6182
O  0.9981  0.9963  0.1373

Peak list (6 most intense, 10 to 90 degrees two-theta, by angle)
2theta, Rel. int.
30.39, 42
35.60, 53
35.73, 100
35.83, 69
36.00, 52
63.22, 63



[2]
# Mn12O7F17
Theoretical X-ray diffraction stick pattern, Cu Kα X-rays. Input: the GGA+U geometry in the Materials Project.
Intensities are scaled so that the largest is 100.

Structural model:
abc: 4.8095 5.7753 15.9635
angles: 89.46 89.42 84.77
Positions (direct):
Mn  0.0000  0.0000  0.0000
Mn  0.0008  0.0010  0.6653
Mn  0.0208  0.0071  0.3265
Mn  0.4748  0.8294  0.1591
Mn  0.4901  0.8267  0.8210
Mn  0.4989  0.8325  0.4853
Mn  0.5019  0.5023  0.6624
Mn  0.5046  0.5087  0.3269
Mn  0.5083  0.5047  0.0001
Mn  0.9950  0.3309  0.8418
Mn  0.9961  0.3047  0.1754
Mn  0.9966  0.3293  0.5060
O  0.2171  0.0495  0.2226
O  0.2747  0.7674  0.7112
O  0.2815  0.7691  0.3759
O  0.2826  0.7745  0.0488
O  0.7770  0.2688  0.6164
O  0.7781  0.2717  0.2781
O  0.7794  0.2679  0.9523
F  0.2351  0.2777  0.0672
F  0.2388  0.0434  0.5612
F  0.2392  0.0429  0.8974
F  0.2511  0.2660  0.7291
F  0.2627  0.2742  0.3961
F  0.2791  0.5412  0.2204
F  0.2958  0.5428  0.8892
F  0.2976  0.5435  0.5528
F  0.7291  0.7672  0.2645
F  0.7364  0.5429  0.7661
F  0.7398  0.5351  0.1112
F  0.7397  0.5428  0.4315
F  0.7502  0.7611  0.9350
F  0.7508  0.7686  0.5989
F  0.7772  0.0368  0.1053
F  0.7979  0.0412  0.7765
F  0.8105  0.0389  0.4362

Peak list (6 most intense, 10 to 90 degrees two-theta, by angle)
2theta, Rel. int.
23.06, 61
25.26, 42
28.40, 60
28.77, 54
30.41, 100
54.86, 30



[3]
# Li3MnP2O8
Theoretical X-ray diffraction stick pattern, Cu Kα X-rays. Input: the GGA+U geometry in the Materials Project.
Intensities are scaled so that the largest is 100.

Structural model:
abc: 4.8199 9.0489 7.8993
angles: 90.00 123.50 90.00
Positions (direct):
Li  0.0000  0.0000  0.0000
Li  0.0000  0.5000  0.5000
Li  0.3366  0.1339  0.8318
Li  0.3366  0.3661  0.3318
Li  0.6634  0.6339  0.6682
Li  0.6634  0.8661  0.1682
Mn  0.5000  0.0000  0.5000
Mn  0.5000  0.5000  0.0000
P  0.1720  0.6774  0.1969
P  0.1720  0.8226  0.6969
P  0.8280  0.1774  0.3031
P  0.8280  0.3226  0.8031
O  0.1406  0.6541  0.7162
O  0.1406  0.8459  0.2162
O  0.1643  0.1234  0.4980
O  0.1643  0.3766  0.9980
O  0.2465  0.5913  0.3835
O  0.2465  0.9087  0.8835
O  0.4642  0.6496  0.1655
O  0.4642  0.8504  0.6655
O  0.5358  0.1496  0.3345
O  0.5358  0.3504  0.8345
O  0.7535  0.0913  0.1165
O  0.7535  0.4087  0.6165
O  0.8357  0.6234  0.0020
O  0.8357  0.8766  0.5020
O  0.8594  0.1541  0.7838
O  0.8594  0.3459  0.2838

Peak list (6 most intense, 10 to 90 degrees two-theta, by angle)
2theta, Rel. int.
16.65, 100
24.23, 46
25.65, 44
33.39, 32
33.66, 45
35.12, 37



[4]
# CrF5
Theoretical X-ray diffraction stick pattern, Cu Kα X-rays. Input: the GGA+U geometry in the Materials Project.
Intensities are scaled so that the largest is 100.

Structural model:
abc: 5.3692 5.3692 7.4705
angles: 110.15 110.15 70.44
Positions (direct):
Cr  0.0000  0.0000  0.0000
Cr  0.0000  0.0000  0.5000
F  0.0763  0.9237  0.7500
F  0.2018  0.2448  0.6122
F  0.2448  0.2018  0.1122
F  0.2731  0.7131  0.0505
F  0.2869  0.7269  0.4495
F  0.7131  0.2731  0.5505
F  0.7269  0.2869  0.9495
F  0.7552  0.7982  0.8878
F  0.7982  0.7552  0.3878
F  0.9237  0.0763  0.2500

Peak list (6 most intense, 10 to 90 degrees two-theta, by angle)
2theta, Rel. int.
18.15, 100
22.35, 35
26.36, 40
27.89, 33
28.83, 14
45.62, 16